Simulated XRD peak list
Compound: Ba3CoSb2O9
Radiation: a wavelength of 1.5418 Å
Structure: a cell relaxed with PBE+U

Structural model:
Unit cell a=5.8650 b=10.1412 c=14.4983 alpha=90.00 beta=90.00 gamma=90.00
Space group Cmcm (No. 63)
Asymmetric unit:
Ba 0.0000 0.0001 0.2500 x4
Ba 0.0000 0.3331 0.0882 x8
Co 0.0000 0.0000 0.0000 x4
Sb 0.0000 0.3333 0.6516 x8
O 0.0000 0.1677 0.5837 x8
O 0.0000 0.4837 0.7500 x4
O 0.2253 0.2581 0.7500 x8
O 0.2477 0.4159 0.5838 x16

Largest 8 diffraction maxima, low angle first, 5° ≤ 2θ ≤ 70°:
25.45°, rel. 16, hkl 1 1 3; 30.30°, rel. 57, hkl 0 2 4; 30.51°, rel. 100, hkl 2 0 0; 35.66°, rel. 23, hkl 1 1 5; 43.54°, rel. 34, hkl 2 2 4; 54.09°, rel. 22, hkl 1 5 4; 54.22°, rel. 20, hkl 3 3 0; 63.50°, rel. 19, hkl 4 0 0